For Nb2Sb, a cell relaxed with GGA-PBE gives the theoretical powder X-ray diffraction pattern in this record (copper Kα).

Structure:
```
21
Lattice="3.295 0.000 0.000 1.643 4.610 0.000 0.027 0.570 28.770" Properties=species:S:1:pos:R:3 pbc="T T T"
Nb 0.000 0.000 0.000
Nb 1.667 5.111 25.864
Nb 1.656 3.833 13.622
Nb 1.650 2.182 4.128
Nb 1.649 2.040 1.221
Nb 1.663 1.225 14.905
Nb 1.662 1.233 17.677
Nb 1.669 1.216 20.488
Nb 3.300 4.360 8.238
Nb 3.297 4.221 5.351
Nb 3.312 3.132 21.763
Nb 3.316 3.132 24.631
Nb 3.307 1.833 12.361
Nb 3.304 1.742 9.499
Sb 1.663 3.808 19.244
Sb 1.653 2.312 7.006
Sb 1.670 1.115 23.370
Sb 3.302 4.402 11.110
Sb 3.307 3.266 16.154
Sb 3.320 3.141 27.499
Sb 3.299 0.133 2.871
```

Most intense lines, 10 to 90 degrees two-theta, in order of rising 2θ:
2θ 29.4, rel. 60
2θ 37.2, rel. 100
2θ 39.2, rel. 60
2θ 39.3, rel. 62
2θ 40.3, rel. 85
2θ 40.4, rel. 84

For NbSb, a cell relaxed with GGA-PBE gives the theoretical powder X-ray diffraction pattern in this record (copper Kα).

Structure:
```
4
Lattice="3.567 0.000 0.000 -1.784 3.090 0.000 0.000 0.000 7.734" Properties=species:S:1:pos:R:3 pbc="T T T"
Nb 0.000 0.000 0.000
Nb 0.000 0.000 3.867
Sb 0.000 2.060 1.934
Sb 1.784 1.030 5.801
```

Most intense lines, 10 to 90 degrees two-theta, in order of rising 2θ:
2θ 31.2, rel. 73
2θ 37.3, rel. 100
2θ 45.8, rel. 25
2θ 51.2, rel. 38
2θ 65.0, rel. 19
2θ 72.0, rel. 27

For Nb5Sb4, a cell relaxed with GGA-PBE gives the theoretical powder X-ray diffraction pattern in this record (copper Kα).

Structure:
```
9
Lattice="-5.210 5.210 1.793 5.210 -5.210 1.793 5.210 5.210 -1.793" Properties=species:S:1:pos:R:3 pbc="T T T"
Nb 0.000 0.000 0.000
Nb 3.881 3.248 0.000
Nb 1.962 -1.329 1.793
Nb 3.248 6.539 0.000
Nb 1.329 1.962 1.793
Sb 3.056 0.554 0.000
Sb 4.656 -2.154 1.793
Sb 0.554 7.364 0.000
Sb 2.154 4.656 1.793
```

Most intense lines, 10 to 90 degrees two-theta, in order of rising 2θ:
2θ 31.5, rel. 41
2θ 36.0, rel. 100
2θ 36.6, rel. 27
2θ 38.6, rel. 42
2θ 43.8, rel. 32
2θ 70.9, rel. 22